This entry pairs a crystal structure of Mn2Fe3CoP6O24 with its theoretical powder X-ray diffraction pattern. Radiation: λ = 1.5418 Å (Cu Kα). Structure: a DFT-relaxed cell (PBE+U, the Materials Project).

Structure:
```
Mn2Fe3CoP6O24
1.0
4.301 2.483 6.936
-4.301 2.483 6.936
0.000 -4.966 6.936
Mn Fe Co P O
2 3 1 6 24
direct
0.000 0.000 0.000
0.500 0.500 0.500
0.146 0.146 0.146
0.356 0.356 0.356
0.855 0.855 0.855
0.641 0.641 0.641
0.036 0.458 0.749
0.254 0.954 0.547
0.458 0.749 0.036
0.547 0.254 0.954
0.749 0.036 0.458
0.954 0.547 0.254
0.000 0.609 0.820
0.055 0.258 0.910
0.093 0.937 0.745
0.111 0.507 0.318
0.190 0.989 0.390
0.235 0.444 0.589
0.258 0.910 0.055
0.318 0.111 0.507
0.390 0.190 0.989
0.417 0.755 0.562
0.444 0.589 0.235
0.495 0.685 0.879
0.507 0.318 0.111
0.562 0.417 0.755
0.589 0.235 0.444
0.609 0.820 0.000
0.685 0.879 0.495
0.745 0.093 0.937
0.755 0.562 0.417
0.820 0.000 0.609
0.879 0.495 0.685
0.910 0.055 0.258
0.937 0.745 0.093
0.989 0.390 0.190
```

Main lines, in order of rising 2θ (2θ from 15° to 90°):
- 20.65 deg, rel. 88
- 20.83 deg, rel. 14
- 24.35 deg, rel. 100
- 25.40 deg, rel. 15
- 32.08 deg, rel. 16
- 33.19 deg, rel. 71
- 36.18 deg, rel. 39
- 47.60 deg, rel. 31
- 49.90 deg, rel. 27
- 56.63 deg, rel. 27
- 56.92 deg, rel. 15
- 63.17 deg, rel. 20